Record 1
Theoretical powder diffractogram of Mg9Si5 for Cu Kα (λ = 1.5418 Å), from a crystal structure in Alexandria, relaxed with PBE.

Cell and atoms:
abc: 7.1771 7.1771 12.2968
angles: 90.00 90.00 120.00
Sites, in units of the cell vectors:
Mg (0.0721, 0.3453, 0.2500)
Mg (0.0839, 0.4047, 0.5831)
Mg (0.0839, 0.4047, 0.9169)
Mg (0.2732, 0.9279, 0.2500)
Mg (0.3208, 0.9161, 0.5831)
Mg (0.3208, 0.9161, 0.9169)
Mg (0.3453, 0.2732, 0.7500)
Mg (0.4047, 0.3208, 0.0831)
Mg (0.4047, 0.3208, 0.4169)
Mg (0.5953, 0.6792, 0.5831)
Mg (0.5953, 0.6792, 0.9169)
Mg (0.6547, 0.7268, 0.2500)
Mg (0.6792, 0.0839, 0.0831)
Mg (0.6792, 0.0839, 0.4169)
Mg (0.7268, 0.0721, 0.7500)
Mg (0.9161, 0.5953, 0.0831)
Mg (0.9161, 0.5953, 0.4169)
Mg (0.9279, 0.6547, 0.7500)
Si (0.0000, 0.0000, 0.1006)
Si (0.0000, 0.0000, 0.3994)
Si (0.0000, 0.0000, 0.6006)
Si (0.0000, 0.0000, 0.8994)
Si (0.3333, 0.6667, 0.0881)
Si (0.3333, 0.6667, 0.4119)
Si (0.3333, 0.6667, 0.7500)
Si (0.6667, 0.3333, 0.2500)
Si (0.6667, 0.3333, 0.5881)
Si (0.6667, 0.3333, 0.9119)

The 10 most intense peaks (10 to 90 degrees two-theta), low angle first:
- 24.81 deg, 3.589 Å, intensity 14
- 33.18 deg, 2.700 Å, intensity 100
- 36.28 deg, 2.476 Å, intensity 81
- 38.31 deg, 2.349 Å, intensity 45
- 43.69 deg, 2.072 Å, intensity 52
- 44.19 deg, 2.049 Å, intensity 37
- 44.45 deg, 2.038 Å, intensity 43
- 59.89 deg, 1.544 Å, intensity 22
- 63.89 deg, 1.457 Å, intensity 29
- 69.84 deg, 1.347 Å, intensity 27

Record 2
Theoretical powder diffractogram of MgH6Br2N2 for Cu Kα (λ = 1.5418 Å), from a crystal structure in Alexandria, relaxed with PBE.

Cell and atoms:
abc: 6.0632 8.0512 12.1459
angles: 90.00 90.00 90.00
Sites, in units of the cell vectors:
Mg (0.0000, 0.2500, 0.0006)
Mg (0.0000, 0.7500, 0.9994)
Mg (0.5000, 0.2500, 0.4994)
Mg (0.5000, 0.7500, 0.5006)
H (0.0961, 0.2500, 0.3968)
H (0.1341, 0.6490, 0.3894)
H (0.1341, 0.8510, 0.3894)
H (0.2122, 0.2500, 0.8006)
H (0.2295, 0.6490, 0.8183)
H (0.2295, 0.8510, 0.8183)
H (0.2705, 0.1490, 0.3183)
H (0.2705, 0.3510, 0.3183)
H (0.2878, 0.7500, 0.3006)
H (0.3659, 0.1490, 0.8894)
H (0.3659, 0.3510, 0.8894)
H (0.4039, 0.7500, 0.8968)
H (0.5961, 0.2500, 0.1032)
H (0.6341, 0.6490, 0.1106)
H (0.6341, 0.8510, 0.1106)
H (0.7122, 0.2500, 0.6994)
H (0.7295, 0.6490, 0.6817)
H (0.7295, 0.8510, 0.6817)
H (0.7705, 0.1490, 0.1817)
H (0.7705, 0.3510, 0.1817)
H (0.7878, 0.7500, 0.1994)
H (0.8659, 0.1490, 0.6106)
H (0.8659, 0.3510, 0.6106)
H (0.9039, 0.7500, 0.6032)
Br (0.2196, 0.5036, 0.1113)
Br (0.2196, 0.9964, 0.1113)
Br (0.2804, 0.0036, 0.6113)
Br (0.2804, 0.4964, 0.6113)
Br (0.7196, 0.5036, 0.3887)
Br (0.7196, 0.9964, 0.3887)
Br (0.7804, 0.0036, 0.8887)
Br (0.7804, 0.4964, 0.8887)
N (0.2363, 0.7500, 0.3810)
N (0.2439, 0.7500, 0.8694)
N (0.2561, 0.2500, 0.3694)
N (0.2637, 0.2500, 0.8810)
N (0.7363, 0.7500, 0.1190)
N (0.7439, 0.7500, 0.6306)
N (0.7561, 0.2500, 0.1306)
N (0.7637, 0.2500, 0.6190)

The 10 most intense peaks (10 to 90 degrees two-theta), low angle first:
- 16.34 deg, 5.425 Å, intensity 14
- 20.70 deg, 4.291 Å, intensity 52
- 22.08 deg, 4.026 Å, intensity 16
- 29.44 deg, 3.034 Å, intensity 38
- 30.45 deg, 2.936 Å, intensity 100
- 37.10 deg, 2.423 Å, intensity 38
- 42.12 deg, 2.145 Å, intensity 20
- 50.06 deg, 1.822 Å, intensity 12
- 52.85 deg, 1.732 Å, intensity 28
- 63.36 deg, 1.468 Å, intensity 11

Record 3
Theoretical powder diffractogram of Tb4ErTh3 for Cu Kα (λ = 1.5418 Å), from a crystal structure in Alexandria, relaxed with PBE.

Cell and atoms:
abc: 5.0340 10.0825 10.1034
angles: 90.00 90.00 90.00
Sites, in units of the cell vectors:
Tb (0.2500, 0.0007, 0.1283)
Tb (0.2500, 0.2500, 0.8732)
Tb (0.2500, 0.4993, 0.1283)
Tb (0.2500, 0.7500, 0.8689)
Tb (0.7500, 0.2500, 0.1311)
Tb (0.7500, 0.5007, 0.8717)
Tb (0.7500, 0.7500, 0.1268)
Tb (0.7500, 0.9993, 0.8717)
Er (0.2500, 0.7500, 0.3775)
Er (0.7500, 0.2500, 0.6225)
Th (0.2500, 0.2500, 0.3768)
Th (0.2500, 0.5021, 0.6222)
Th (0.2500, 0.9979, 0.6222)
Th (0.7500, 0.0021, 0.3778)
Th (0.7500, 0.4979, 0.3778)
Th (0.7500, 0.7500, 0.6232)

The 10 most intense peaks (10 to 90 degrees two-theta), low angle first:
- 30.71 deg, 2.911 Å, intensity 100
- 35.58 deg, 2.523 Å, intensity 34
- 35.67 deg, 2.517 Å, intensity 17
- 51.25 deg, 1.783 Å, intensity 36
- 60.85 deg, 1.522 Å, intensity 14
- 60.98 deg, 1.519 Å, intensity 29
- 63.96 deg, 1.456 Å, intensity 13
- 83.55 deg, 1.157 Å, intensity 12
- 83.67 deg, 1.156 Å, intensity 6
- 86.40 deg, 1.126 Å, intensity 6

Record 4
Theoretical powder diffractogram of La4Ni2Ru for Cu Kα (λ = 1.5418 Å), from a crystal structure in Alexandria, relaxed with PBE.

Cell and atoms:
abc: 7.7319 7.7319 7.7248
angles: 109.84 109.84 108.73
Sites, in units of the cell vectors:
La (0.0009, 0.9991, 0.5000)
La (0.1042, 0.6057, 0.2110)
La (0.3831, 0.4880, 0.6080)
La (0.4860, 0.8811, 0.1043)
La (0.4880, 0.3831, 0.1080)
La (0.6057, 0.1042, 0.7110)
La (0.8811, 0.4860, 0.6043)
La (0.9991, 0.0009, 0.0000)
Ni (0.2431, 0.8581, 0.7198)
Ni (0.6299, 0.7442, 0.4918)
Ni (0.7442, 0.6299, 0.9918)
Ni (0.8581, 0.2431, 0.2198)
Ru (0.1184, 0.3685, 0.8562)
Ru (0.3685, 0.1184, 0.3562)

The 10 most intense peaks (10 to 90 degrees two-theta), low angle first:
- 28.22 deg, 3.163 Å, intensity 30
- 28.42 deg, 3.141 Å, intensity 16
- 31.45 deg, 2.845 Å, intensity 59
- 31.83 deg, 2.811 Å, intensity 100
- 37.54 deg, 2.396 Å, intensity 23
- 37.74 deg, 2.384 Å, intensity 27
- 37.86 deg, 2.376 Å, intensity 25
- 52.04 deg, 1.757 Å, intensity 16
- 52.26 deg, 1.751 Å, intensity 20
- 52.50 deg, 1.743 Å, intensity 21

Record 5
Theoretical powder diffractogram of Be4PRh for Cu Kα (λ = 1.5418 Å), from a crystal structure in Alexandria, relaxed with PBE.

Cell and atoms:
abc: 4.3538 4.3538 4.3538
angles: 60.00 60.00 60.00
Sites, in units of the cell vectors:
Be (0.1233, 0.1233, 0.1233)
Be (0.1233, 0.1233, 0.6302)
Be (0.1233, 0.6302, 0.1233)
Be (0.6302, 0.1233, 0.1233)
P (0.5000, 0.5000, 0.5000)
Rh (0.7500, 0.7500, 0.7500)

The 10 most intense peaks (10 to 90 degrees two-theta), low angle first:
- 25.05 deg, 3.555 Å, intensity 100
- 29.00 deg, 3.079 Å, intensity 29
- 41.48 deg, 2.177 Å, intensity 72
- 49.07 deg, 1.856 Å, intensity 69
- 51.41 deg, 1.777 Å, intensity 9
- 60.11 deg, 1.539 Å, intensity 8
- 66.15 deg, 1.413 Å, intensity 19
- 68.10 deg, 1.377 Å, intensity 10
- 75.67 deg, 1.257 Å, intensity 24
- 81.17 deg, 1.185 Å, intensity 21

Record 6
Theoretical powder diffractogram of BeHgSe for Cu Kα (λ = 1.5418 Å), from a crystal structure in Alexandria, relaxed with PBE.

Cell and atoms:
abc: 3.6496 3.6496 6.4588
angles: 106.14 106.14 59.99
Sites, in units of the cell vectors:
Be (0.0000, 0.0000, 0.0000)
Hg (0.8656, 0.8656, 0.5963)
Se (0.6999, 0.6999, 0.1012)

The 10 most intense peaks (10 to 90 degrees two-theta), low angle first:
- 14.48 deg, 6.117 Å, intensity 30
- 28.66 deg, 3.115 Å, intensity 100
- 29.20 deg, 3.058 Å, intensity 39
- 29.90 deg, 2.988 Å, intensity 42
- 34.41 deg, 2.606 Å, intensity 18
- 37.45 deg, 2.401 Å, intensity 15
- 37.61 deg, 2.392 Å, intensity 30
- 44.86 deg, 2.020 Å, intensity 21
- 49.98 deg, 1.825 Å, intensity 28
- 58.63 deg, 1.574 Å, intensity 14

Record 7
Theoretical powder diffractogram of ZrMn4Ge for Cu Kα (λ = 1.5418 Å), from a crystal structure in Alexandria, relaxed with PBE.

Cell and atoms:
abc: 4.8352 4.8352 4.8352
angles: 60.00 60.00 60.00
Sites, in units of the cell vectors:
Zr (0.0000, 0.0000, 0.0000)
Mn (0.1298, 0.6234, 0.6234)
Mn (0.6234, 0.1298, 0.6234)
Mn (0.6234, 0.6234, 0.1298)
Mn (0.6234, 0.6234, 0.6234)
Ge (0.2500, 0.2500, 0.2500)

The 8 most intense peaks (10 to 90 degrees two-theta), low angle first:
- 26.06 deg, 3.419 Å, intensity 1
- 37.19 deg, 2.418 Å, intensity 43
- 43.91 deg, 2.062 Å, intensity 100
- 45.98 deg, 1.974 Å, intensity 27
- 53.61 deg, 1.710 Å, intensity 1
- 67.05 deg, 1.396 Å, intensity 15
- 71.72 deg, 1.316 Å, intensity 28
- 79.25 deg, 1.209 Å, intensity 23

Record 8
Theoretical powder diffractogram of PtCl4O5 for Cu Kα (λ = 1.5418 Å), from a crystal structure in Alexandria, relaxed with PBE.

Cell and atoms:
abc: 7.1296 7.1296 10.7272
angles: 90.88 90.88 111.04
Sites, in units of the cell vectors:
Pt (0.1348, 0.8652, 0.5000)
Pt (0.8652, 0.1348, 0.0000)
Cl (0.0957, 0.9838, 0.9461)
Cl (0.0997, 0.9205, 0.7172)
Cl (0.1286, 0.4425, 0.9952)
Cl (0.4425, 0.1286, 0.4952)
Cl (0.6144, 0.8190, 0.9796)
Cl (0.8190, 0.6144, 0.4796)
Cl (0.9205, 0.0997, 0.2172)
Cl (0.9838, 0.0957, 0.4461)
O (0.2051, 0.7958, 0.2508)
O (0.2555, 0.6802, 0.5219)
O (0.3540, 0.9196, 0.2042)
O (0.4174, 0.4346, 0.7299)
O (0.4346, 0.4174, 0.2299)
O (0.5629, 0.5905, 0.7259)
O (0.5905, 0.5629, 0.2259)
O (0.6802, 0.2555, 0.0219)
O (0.7958, 0.2051, 0.7508)
O (0.9196, 0.3540, 0.7042)

The 10 most intense peaks (10 to 90 degrees two-theta), low angle first:
- 13.31 deg, 6.653 Å, intensity 76
- 15.52 deg, 5.711 Å, intensity 37
- 15.83 deg, 5.597 Å, intensity 47
- 16.53 deg, 5.362 Å, intensity 44
- 17.21 deg, 5.154 Å, intensity 100
- 21.05 deg, 4.221 Å, intensity 21
- 22.03 deg, 4.035 Å, intensity 32
- 25.27 deg, 3.525 Å, intensity 22
- 29.24 deg, 3.054 Å, intensity 25
- 33.43 deg, 2.681 Å, intensity 25

Record 9
Theoretical powder diffractogram of Si6MoW2 for Cu Kα (λ = 1.5418 Å), from a crystal structure in Alexandria, relaxed with PBE.

Cell and atoms:
abc: 4.6138 4.6138 6.6365
angles: 90.00 90.00 120.05
Sites, in units of the cell vectors:
Si (0.1630, 0.8370, 0.0000)
Si (0.1647, 0.3282, 0.6673)
Si (0.3282, 0.1647, 0.3327)
Si (0.6718, 0.8353, 0.3327)
Si (0.8353, 0.6718, 0.6673)
Si (0.8370, 0.1630, 0.0000)
Mo (0.5000, 0.5000, 0.0000)
W (0.0000, 0.5000, 0.3332)
W (0.5000, 0.0000, 0.6668)

The 10 most intense peaks (10 to 90 degrees two-theta), low angle first:
- 22.25 deg, 3.996 Å, intensity 22
- 26.04 deg, 3.422 Å, intensity 100
- 35.16 deg, 2.552 Å, intensity 47
- 40.79 deg, 2.212 Å, intensity 31
- 41.45 deg, 2.179 Å, intensity 80
- 45.41 deg, 1.997 Å, intensity 24
- 48.04 deg, 1.894 Å, intensity 52
- 62.67 deg, 1.482 Å, intensity 19
- 63.16 deg, 1.472 Å, intensity 17
- 69.83 deg, 1.347 Å, intensity 17

Record 10
Theoretical powder diffractogram of Er2Sn2Pd7 for Cu Kα (λ = 1.5418 Å), from a crystal structure in Alexandria, relaxed with PBE.

Cell and atoms:
abc: 5.7433 5.7433 7.2060
angles: 90.00 90.00 102.34
Sites, in units of the cell vectors:
Er (0.1997, 0.8003, 0.0000)
Er (0.8003, 0.1997, 0.0000)
Sn (0.3082, 0.3082, 0.5000)
Sn (0.6918, 0.6918, 0.5000)
Pd (0.0000, 0.0000, 0.2918)
Pd (0.0000, 0.0000, 0.7082)
Pd (0.0000, 0.5000, 0.2919)
Pd (0.0000, 0.5000, 0.7081)
Pd (0.5000, 0.0000, 0.2919)
Pd (0.5000, 0.0000, 0.7081)
Pd (0.5000, 0.5000, 0.0000)

The 10 most intense peaks (10 to 90 degrees two-theta), low angle first:
- 23.40 deg, 3.801 Å, intensity 31
- 27.69 deg, 3.221 Å, intensity 79
- 29.46 deg, 3.032 Å, intensity 23
- 31.90 deg, 2.806 Å, intensity 21
- 34.86 deg, 2.574 Å, intensity 23
- 40.32 deg, 2.237 Å, intensity 38
- 40.76 deg, 2.213 Å, intensity 100
- 41.24 deg, 2.189 Å, intensity 50
- 50.41 deg, 1.810 Å, intensity 30
- 50.69 deg, 1.801 Å, intensity 37

Record 11
Theoretical powder diffractogram of Tb3ErTm for Cu Kα (λ = 1.5418 Å), from a crystal structure in Alexandria, relaxed with PBE.

Cell and atoms:
abc: 9.2067 7.4175 9.2081
angles: 90.00 90.00 90.00
Sites, in units of the cell vectors:
Tb (0.1288, 0.9996, 0.1287)
Tb (0.1288, 0.5004, 0.1287)
Tb (0.1705, 0.2500, 0.8304)
Tb (0.3295, 0.7500, 0.3304)
Tb (0.3713, 0.0004, 0.6287)
Tb (0.3713, 0.4996, 0.6287)
Tb (0.6288, 0.9996, 0.3713)
Tb (0.6288, 0.5004, 0.3713)
Tb (0.6705, 0.2500, 0.6696)
Tb (0.8295, 0.7500, 0.1696)
Tb (0.8712, 0.0004, 0.8713)
Tb (0.8712, 0.4996, 0.8713)
Er (0.0000, 0.0000, 0.5000)
Er (0.0000, 0.5000, 0.5000)
Er (0.5000, 0.0000, 0.0000)
Er (0.5000, 0.5000, 0.0000)
Tm (0.1695, 0.7500, 0.8295)
Tm (0.3305, 0.2500, 0.3295)
Tm (0.6695, 0.7500, 0.6705)
Tm (0.8305, 0.2500, 0.1705)

The 10 most intense peaks (10 to 90 degrees two-theta), low angle first:
- 27.40 deg, 3.255 Å, intensity 12
- 30.71 deg, 2.912 Å, intensity 62
- 30.96 deg, 2.888 Å, intensity 27
- 32.49 deg, 2.756 Å, intensity 100
- 35.14 deg, 2.554 Å, intensity 9
- 47.53 deg, 1.913 Å, intensity 12
- 49.13 deg, 1.854 Å, intensity 12
- 56.70 deg, 1.624 Å, intensity 14
- 59.06 deg, 1.564 Å, intensity 20
- 59.54 deg, 1.553 Å, intensity 18

Record 12
Theoretical powder diffractogram of Cs2LiHgI6 for Cu Kα (λ = 1.5418 Å), from a crystal structure in Alexandria, relaxed with PBE.

Cell and atoms:
abc: 8.4660 8.4660 8.4660
angles: 120.10 120.10 89.82
Sites, in units of the cell vectors:
Cs (0.2500, 0.7500, 0.5000)
Cs (0.7500, 0.2500, 0.5000)
Li (0.0000, 0.0000, 0.0000)
Hg (0.5000, 0.5000, 0.0000)
I (0.2472, 0.2472, 0.0000)
I (0.2484, 0.2484, 0.4969)
I (0.2484, 0.7516, 0.0000)
I (0.7516, 0.2484, 0.0000)
I (0.7516, 0.7516, 0.5031)
I (0.7528, 0.7528, 0.0000)

The 10 most intense peaks (10 to 90 degrees two-theta), low angle first:
- 12.81 deg, 6.909 Å, intensity 21
- 21.00 deg, 4.231 Å, intensity 14
- 24.67 deg, 3.608 Å, intensity 17
- 25.79 deg, 3.454 Å, intensity 86
- 29.87 deg, 2.992 Å, intensity 100
- 42.75 deg, 2.115 Å, intensity 74
- 50.64 deg, 1.803 Å, intensity 26
- 53.02 deg, 1.727 Å, intensity 26
- 70.43 deg, 1.337 Å, intensity 23
- 78.33 deg, 1.221 Å, intensity 17